Diffraction record for CePrSm2Y. The powder diffractogram is computed, not measured: it uses a DFT-relaxed cell (GGA-PBE, Alexandria) and Cu Kα (λ = 1.5418 Å).
Lines closer than 0.1° are merged.

a b c (Å): 6.021 7.804 7.247
angles (deg): 90.00 90.00 90.00
Space group Pmma (No. 51)
Symmetry-distinct sites (fractional):
Ce (0.000, 0.000, 0.000) (multiplicity 2)
Pr (0.250, 0.500, 0.162) (multiplicity 2)
Sm (0.250, 0.290, 0.684) (multiplicity 4)
Y (0.250, 0.000, 0.390) (multiplicity 2)

The 10 most intense peaks (2θ = 10–80°), sorted by position:
| 2θ/deg | I/Imax | index |
| --- | --- | --- |
| 25.93 | 25 | 0 2 1 |
| 27.13 | 27 | 0 1 2 |
| 28.75 | 21 | 1 0 2 |
| 29.67 | 22 | 2 0 0 |
| 29.95 | 100 | 1 2 1 |
| 31.00 | 38 | 1 1 2 |
| 34.24 | 26 | 2 1 1 |
| 38.89 | 21 | 2 0 2 |
| 52.80 | 32 | 1 0 4 |
| 54.05 | 27 | 2 2 3 |